No. 1
For Sr2Mg17Hg3, the PBE geometry in Alexandria gives the theoretical XRD peak list in this record (λ = 1.5418 Å (Cu Kα)).

Structural model:
a = 8.441 Å, b = 8.441 Å, c = 8.441 Å
α = 83.68°, β = 83.68°, γ = 83.68°
Atoms (fractional coordinates):
Sr 0.155 0.155 0.155
Sr 0.845 0.845 0.845
Mg 0.000 0.500 0.500
Mg 0.170 0.170 0.677
Mg 0.170 0.677 0.170
Mg 0.242 0.500 0.758
Mg 0.242 0.758 0.500
Mg 0.323 0.830 0.830
Mg 0.398 0.398 0.398
Mg 0.500 0.000 0.500
Mg 0.500 0.242 0.758
Mg 0.500 0.500 0.000
Mg 0.500 0.758 0.242
Mg 0.602 0.602 0.602
Mg 0.677 0.170 0.170
Mg 0.758 0.242 0.500
Mg 0.758 0.500 0.242
Mg 0.830 0.323 0.830
Mg 0.830 0.830 0.323
Hg 0.000 0.000 0.500
Hg 0.000 0.500 0.000
Hg 0.500 0.000 0.000

Top 10 peaks for 15 to 90 degrees two-theta, in order of rising 2θ:
2θ (°), d/Å, I_rel
16.47, 5.384, 708
19.01, 4.668, 786
21.29, 4.174, 616
24.78, 3.594, 323
31.79, 2.815, 1000
32.90, 2.722, 334
33.28, 2.692, 566
36.00, 2.495, 317
37.30, 2.411, 306
46.68, 1.946, 712


No. 2
For SrMg2Hg6, the PBE geometry in Alexandria gives the theoretical XRD peak list in this record (λ = 1.5418 Å (Cu Kα)).

Structural model:
a = 6.519 Å, b = 6.519 Å, c = 7.314 Å
α = 90.00°, β = 90.00°, γ = 120.00°
Atoms (fractional coordinates):
Sr 0.000 0.000 0.000
Mg 0.333 0.667 0.500
Mg 0.667 0.333 0.500
Hg 0.000 0.500 0.198
Hg 0.000 0.500 0.802
Hg 0.500 0.000 0.198
Hg 0.500 0.000 0.802
Hg 0.500 0.500 0.198
Hg 0.500 0.500 0.802

Top 10 peaks for 15 to 90 degrees two-theta, in order of rising 2θ:
2θ (°), d/Å, I_rel
15.70, 5.646, 372
24.34, 3.657, 263
29.09, 3.070, 225
31.70, 2.823, 1000
34.04, 2.634, 260
36.91, 2.435, 305
40.35, 2.235, 655
49.41, 1.845, 399
56.46, 1.630, 224
72.82, 1.299, 205


No. 3
For SrMg2Hg3, the PBE geometry in Alexandria gives the theoretical XRD peak list in this record (λ = 1.5418 Å (Cu Kα)).

Structural model:
a = 7.150 Å, b = 7.150 Å, c = 6.411 Å
α = 90.00°, β = 90.00°, γ = 75.77°
Atoms (fractional coordinates):
Sr 0.160 0.840 0.750
Sr 0.840 0.160 0.250
Mg 0.289 0.289 0.000
Mg 0.289 0.289 0.500
Mg 0.711 0.711 0.000
Mg 0.711 0.711 0.500
Hg 0.042 0.644 0.250
Hg 0.356 0.958 0.250
Hg 0.466 0.534 0.250
Hg 0.534 0.466 0.750
Hg 0.644 0.042 0.750
Hg 0.958 0.356 0.750

Top 10 peaks for 15 to 90 degrees two-theta, in order of rising 2θ:
2θ (°), d/Å, I_rel
18.86, 4.706, 382
25.74, 3.461, 314
27.83, 3.206, 502
29.33, 3.045, 1000
31.58, 2.833, 353
38.27, 2.352, 419
40.53, 2.226, 200
41.55, 2.173, 193
42.59, 2.123, 281
50.17, 1.818, 230